[1]
DyEr2FeSn3Ir2: simulated powder diffractogram (Cu Ka), based on the PBE geometry in OQMD.

Structural model:
a b c (Å): 3.736 13.140 7.576
angles (deg): 90.00 90.00 90.00
Space group Amm2 (No. 38)
Asymmetric unit:
Dy  0.000  0.000  0.000 (multiplicity 2)
Er  0.000  0.203  0.610 (multiplicity 4)
Fe  0.000  0.000  0.408 (multiplicity 2)
Sn  0.500  0.000  0.664 (multiplicity 2)
Sn  0.500  0.129  0.279 (multiplicity 4)
Ir  0.500  0.168  0.907 (multiplicity 4)

Peak list (8 most intense, 2θ from 10° to 80°, by intensity)
2θ/deg	I (rel.)	(hkl)
33.7	100	1 0 2
36.4	71	1 2 2
36.2	47	0 5 1
41.3	38	0 3 3
67.0	27	1 8 2
62.2	20	2 5 1
48.7	20	2 0 0
43.8	20	1 5 1

[2]
Y4ZnCoC2: simulated powder diffractogram (Cu Ka), based on the PBE geometry in OQMD.

Structural model:
a b c (Å): 3.6194 3.6194 14.2094
angles (deg): 90.00 90.00 120.00
Space group P-6m2 (No. 187)
Asymmetric unit:
Y  0.0000  0.0000  0.1395 (multiplicity 2)
Y  0.6667  0.3333  0.3307 (multiplicity 2)
Zn  0.0000  0.0000  0.5000 (multiplicity 1)
Co  0.6667  0.3333  0.0000 (multiplicity 1)
C  0.3333  0.6667  0.2407 (multiplicity 2)

Peak list (8 most intense, 2θ from 10° to 80°, by intensity)
2θ/deg	I (rel.)	(hkl)
34.3	100	1 0 3
50.4	26	1 1 0
28.5	25	1 0 0
62.4	17	2 0 3
64.8	13	1 1 6
48.2	12	1 0 6
38.0	11	0 0 6
66.3	7	1 0 9

[3]
LaHoAg2Bi4: simulated powder diffractogram (Cu Ka), based on the PBE geometry in OQMD.

Structural model:
a b c (Å): 4.572 4.572 10.433
angles (deg): 90.00 90.00 90.00
Space group P4mm (No. 99)
Asymmetric unit:
La  0.000  0.000  0.000 (multiplicity 1)
Ho  0.500  0.500  0.498 (multiplicity 1)
Ag  0.000  0.500  0.744 (multiplicity 2)
Bi  0.000  0.000  0.559 (multiplicity 1)
Bi  0.000  0.500  0.256 (multiplicity 2)
Bi  0.500  0.500  0.931 (multiplicity 1)

Peak list (8 most intense, 2θ from 10° to 80°, by intensity)
2θ/deg	I (rel.)	(hkl)
32.6	100	1 1 2
39.4	37	2 0 0
67.2	25	3 1 2
53.3	14	2 0 4
57.0	13	2 2 0
34.4	12	0 0 4
25.9	11	1 0 2
28.9	11	1 1 1